1.
TbHo12Th5: theoretical powder X-ray diffraction pattern (a wavelength of 1.5418 Å), based on a GGA-PBE-relaxed structure.

Atomic structure:
a = 18.4402 Å, b = 10.5934 Å, c = 6.1485 Å
α = 90.00°, β = 109.40°, γ = 90.00°
Space group C2/m (No. 12)
One atom of each set of equivalent atoms:
Tb1 0.0000 0.0000 0.0000 [2 per cell]
Ho1 0.0000 0.1658 0.5000 [4 per cell]
Ho2 0.0000 0.3367 0.0000 [4 per cell]
Ho3 0.1675 0.1655 0.3367 [8 per cell]
Ho4 0.1666 0.3345 0.8324 [8 per cell]
Th1 0.0000 0.5000 0.5000 [2 per cell]
Th2 0.1673 0.0000 0.8294 [4 per cell]
Th3 0.1666 0.5000 0.3316 [4 per cell]

Largest 10 diffraction maxima, most intense first, 10° ≤ 2θ ≤ 80°:
(hkl), d/Å, I (rel.)
6 0 0, 2.898, 100
1 3 1, 2.889, 99
5 3 -1, 2.503, 67
3 3 3, 1.512, 43
7 3 1, 1.774, 36
2 0 2, 2.512, 34
6 6 0, 1.508, 29
3 3 -3, 1.773, 24
8 0 2, 1.514, 15
12 0 0, 1.449, 13


2.
InSb2: theoretical powder X-ray diffraction pattern (a wavelength of 1.5418 Å), based on a GGA-PBE-relaxed structure.

Atomic structure:
a = 3.9411 Å, b = 3.9411 Å, c = 23.2560 Å
α = 90.00°, β = 90.00°, γ = 90.00°
Space group I4_1/amd (No. 141, origin choice 2)
One atom of each set of equivalent atoms:
In1 0.0000 0.2500 0.3750 [4 per cell]
Sb1 0.0000 0.2500 0.7957 [8 per cell]

Largest 10 diffraction maxima, most intense first, 10° ≤ 2θ ≤ 80°:
(hkl), d/Å, I (rel.)
1 0 5, 3.007, 100
1 1 2, 2.710, 97
1 0 7, 2.540, 78
2 0 0, 1.971, 40
2 1 7, 1.557, 34
2 1 5, 1.648, 33
2 0 12, 1.382, 23
1 1 14, 1.427, 19
1 0 1, 3.886, 18
0 0 12, 1.938, 18